[1]
The following is a calculated powder X-ray diffraction pattern of Li3Bi2Pd8. It was derived from the PBE geometry in Alexandria, using Cu Kα X-rays.
Kinematic intensities with the Lorentz-polarization factor, no thermal factor.

Peak list (10 most intense, 2θ from 10° to 90°, by angle)
- 2θ 19.6, I 33
- 2θ 20.0, I 27
- 2θ 28.1, I 26
- 2θ 30.3, I 24
- 2θ 36.6, I 51
- 2θ 39.8, I 50
- 2θ 40.2, I 100
- 2θ 40.9, I 48
- 2θ 46.6, I 40
- 2θ 72.5, I 20

a b c (Å): 7.186 7.186 4.548
angles (deg): 99.69 99.69 78.25
Element x y z (fractional)
Li (0.000, 0.000, 0.000)
Li (0.240, 0.760, 0.500)
Li (0.760, 0.240, 0.500)
Bi (0.292, 0.292, 0.160)
Bi (0.708, 0.708, 0.840)
Pd (0.102, 0.639, 0.941)
Pd (0.136, 0.136, 0.578)
Pd (0.361, 0.898, 0.059)
Pd (0.430, 0.430, 0.717)
Pd (0.570, 0.570, 0.283)
Pd (0.639, 0.102, 0.941)
Pd (0.864, 0.864, 0.422)
Pd (0.898, 0.361, 0.059)



[2]
The following is a calculated powder X-ray diffraction pattern of Ce2AlZnAu6. It was derived from the PBE geometry in Alexandria, using Cu Kα X-rays.
Kinematic intensities with the Lorentz-polarization factor, no thermal factor.

Peak list (10 most intense, 2θ from 10° to 90°, by angle)
- 2θ 20.1, I 39
- 2θ 27.4, I 29
- 2θ 27.8, I 75
- 2θ 28.5, I 38
- 2θ 38.0, I 100
- 2θ 38.4, I 59
- 2θ 39.5, I 76
- 2θ 40.3, I 25
- 2θ 43.1, I 21
- 2θ 53.0, I 21

a b c (Å): 6.856 6.856 8.849
angles (deg): 128.88 128.88 47.62
Element x y z (fractional)
Ce (0.244, 0.244, 0.217)
Ce (0.756, 0.756, 0.783)
Al (0.000, 0.000, 0.500)
Zn (0.500, 0.500, 0.000)
Au (0.226, 0.725, 0.231)
Au (0.251, 0.251, 0.603)
Au (0.275, 0.774, 0.769)
Au (0.725, 0.226, 0.231)
Au (0.749, 0.749, 0.397)
Au (0.774, 0.275, 0.769)



[3]
The following is a calculated powder X-ray diffraction pattern of Ho8ErSc6. It was derived from the PBE geometry in Alexandria, using Cu Kα X-rays.
Kinematic intensities with the Lorentz-polarization factor, no thermal factor.

Peak list (10 most intense, 2θ from 10° to 90°, by angle)
- 2θ 14.0, I 23
- 2θ 18.0, I 24
- 2θ 24.2, I 67
- 2θ 26.8, I 52
- 2θ 33.5, I 53
- 2θ 34.5, I 100
- 2θ 34.6, I 92
- 2θ 49.7, I 21
- 2θ 53.2, I 26
- 2θ 61.8, I 25

a b c (Å): 9.007 9.007 6.340
angles (deg): 90.00 90.00 120.00
Element x y z (fractional)
Ho (0.038, 0.347, 0.391)
Ho (0.309, 0.962, 0.391)
Ho (0.333, 0.667, 0.719)
Ho (0.347, 0.309, 0.609)
Ho (0.653, 0.691, 0.391)
Ho (0.667, 0.333, 0.281)
Ho (0.691, 0.038, 0.609)
Ho (0.962, 0.653, 0.609)
Er (0.000, 0.000, 0.000)
Sc (0.070, 0.671, 0.096)
Sc (0.329, 0.398, 0.096)
Sc (0.398, 0.070, 0.904)
Sc (0.602, 0.930, 0.096)
Sc (0.671, 0.602, 0.904)
Sc (0.930, 0.329, 0.904)



[4]
The following is a calculated powder X-ray diffraction pattern of RbCeThSe4. It was derived from the PBE geometry in Alexandria, using Cu Kα X-rays.
Kinematic intensities with the Lorentz-polarization factor, no thermal factor.

Peak list (10 most intense, 2θ from 10° to 90°, by angle)
- 2θ 11.9, I 79
- 2θ 12.0, I 26
- 2θ 22.9, I 45
- 2θ 23.1, I 59
- 2θ 27.8, I 100
- 2θ 36.3, I 39
- 2θ 36.4, I 30
- 2θ 36.5, I 22
- 2θ 39.7, I 80
- 2θ 40.0, I 20

a b c (Å): 9.076 9.076 9.076
angles (deg): 120.50 119.53 89.98
Element x y z (fractional)
Rb (0.374, 0.124, 0.250)
Rb (0.626, 0.876, 0.750)
Ce (0.000, 0.500, 0.500)
Ce (0.500, 0.500, 0.000)
Th (0.000, 0.000, 0.500)
Th (0.000, 0.500, 0.000)
Se (0.192, 0.735, 0.457)
Se (0.222, 0.265, 0.957)
Se (0.225, 0.263, 0.537)
Se (0.225, 0.688, 0.963)
Se (0.775, 0.312, 0.037)
Se (0.775, 0.737, 0.463)
Se (0.778, 0.735, 0.043)
Se (0.808, 0.265, 0.543)